# Zr3As5
Calculated X-ray powder pattern, Cu Kα. Input: DFT lattice parameters and positions (GGA-PBE).
Intensities are scaled so that the largest is 100.

Cell and atoms:
```
data_Zr3As5
_symmetry_space_group_name_H-M 'C 1 2/m 1'
_symmetry_Int_Tables_number 12
_symmetry_space_group_name_Hall '-C 2y'
_cell_length_a 6.424
_cell_length_b 15.209
_cell_length_c 6.938
_cell_angle_alpha 90.00
_cell_angle_beta 105.24
_cell_angle_gamma 90.00
loop_
_atom_site_label
_atom_site_type_symbol
_atom_site_fract_x
_atom_site_fract_y
_atom_site_fract_z
Zr1 Zr 0.000 0.175 0.000
Zr2 Zr 0.000 0.262 0.500
Zr3 Zr 0.196 0.000 0.710
As1 As 0.167 0.500 0.876
As2 As 0.175 0.324 0.199
As3 As 0.205 0.102 0.371
```

Top 10 peaks for 2θ from 5° to 70°, sorted by position:
2theta, I/Imax
28.21, 39
31.16, 61
35.92, 38
36.96, 100
37.10, 95
37.96, 67
38.13, 94
39.61, 75
44.80, 40
49.83, 41